No. 1
This entry pairs a crystal structure of Pr3Mg3InGaAg with its theoretical powder X-ray diffraction pattern. Radiation: copper Kα. Structure: a structure optimized by DFT (GGA-PBE).
Lines closer than 0.1° are merged.

The 12 most intense peaks (2θ = 10–90°), in order of falling intensity:
two_theta, Rel. int.
33.2, 100.0
30.3, 71.7
23.0, 27.6
26.7, 25.7
39.5, 25.3
40.8, 23.6
53.3, 23.0
40.5, 23.0
35.5, 22.4
64.0, 21.1
19.5, 17.1
49.1, 16.0

```
Pr3Mg3InGaAg
1.0
7.7209 0.0000 0.0000
-3.8604 6.6865 0.0000
0.0000 0.0000 4.5625
Pr Mg In Ga Ag
3 3 1 1 1
direct
0.0121 0.5895 0.0000 Pr
0.4105 0.4226 0.0000 Pr
0.5774 0.9879 0.0000 Pr
0.0031 0.2417 0.5000 Mg
0.2386 0.9969 0.5000 Mg
0.7583 0.7614 0.5000 Mg
0.6667 0.3333 0.5000 In
0.3333 0.6667 0.5000 Ga
0.0000 0.0000 0.0000 Ag
```

=====

No. 2
This entry pairs a crystal structure of Li4ZnAsPt2 with its theoretical powder X-ray diffraction pattern. Radiation: copper Kα. Structure: a structure optimized by DFT (GGA-PBE).
Lines closer than 0.1° are merged.

The 12 most intense peaks (2θ = 10–90°), in order of falling intensity:
two_theta, Rel. int.
25.5, 100.0
42.7, 49.4
49.4, 34.0
41.6, 27.0
76.6, 17.6
51.3, 14.7
68.1, 12.6
29.1, 12.4
60.2, 9.0
81.5, 8.1
78.9, 7.8
66.5, 7.0

```
Li4ZnAsPt2
1.0
4.3469 0.0000 0.0000
0.0000 4.3469 0.0000
0.0000 0.0000 5.8534
Li Zn As Pt
4 1 1 2
direct
0.0000 0.0000 0.0000 Li
0.0000 0.5000 0.7431 Li
0.5000 0.0000 0.2569 Li
0.5000 0.5000 0.5000 Li
0.0000 0.0000 0.5000 Zn
0.5000 0.5000 0.0000 As
0.0000 0.5000 0.2391 Pt
0.5000 0.0000 0.7609 Pt
```

=====

No. 3
This entry pairs a crystal structure of YBeZnAu with its theoretical powder X-ray diffraction pattern. Radiation: copper Kα. Structure: a structure optimized by DFT (GGA-PBE).
Lines closer than 0.1° are merged.

The 12 most intense peaks (2θ = 10–90°), in order of falling intensity:
two_theta, Rel. int.
39.4, 100.0
27.6, 42.3
71.5, 34.1
23.8, 27.6
57.0, 16.9
64.5, 16.1
46.6, 15.2
48.8, 12.2
84.9, 11.0
62.7, 6.4
89.8, 5.3
76.6, 4.9

```
YBeZnAu
1.0
0.0000 3.2311 3.2311
3.2311 0.0000 3.2311
3.2311 3.2311 0.0000
Y Be Zn Au
1 1 1 1
direct
0.0000 0.0000 0.0000 Y
0.7500 0.7500 0.7500 Be
0.2500 0.2500 0.2500 Zn
0.5000 0.5000 0.5000 Au
```

=====

No. 4
This entry pairs a crystal structure of Dy4Ge3 with its theoretical powder X-ray diffraction pattern. Radiation: copper Kα. Structure: a structure optimized by DFT (GGA-PBE).
Lines closer than 0.1° are merged.

The 12 most intense peaks (2θ = 10–90°), in order of falling intensity:
two_theta, Rel. int.
32.0, 100.0
38.1, 60.4
52.8, 35.2
65.1, 21.1
50.6, 18.8
28.6, 17.4
79.7, 14.5
68.9, 14.5
24.7, 13.1
67.0, 11.5
48.3, 8.6
86.8, 7.4

```
Dy4Ge3
1.0
-4.4185 4.4185 4.4185
4.4185 -4.4185 4.4185
4.4185 4.4185 -4.4185
Dy Ge
8 6
direct
0.0000 0.1318 0.5000 Dy
0.0000 0.6318 0.5000 Dy
0.1318 0.5000 0.0000 Dy
0.3682 0.3682 0.3682 Dy
0.5000 0.0000 0.1318 Dy
0.5000 0.0000 0.6318 Dy
0.6318 0.5000 0.0000 Dy
0.8682 0.8682 0.8682 Dy
0.1250 0.8750 0.2500 Ge
0.2500 0.1250 0.8750 Ge
0.3750 0.6250 0.7500 Ge
0.6250 0.7500 0.3750 Ge
0.7500 0.3750 0.6250 Ge
0.8750 0.2500 0.1250 Ge
```

=====

No. 5
This entry pairs a crystal structure of Nb2Co2SnPb with its theoretical powder X-ray diffraction pattern. Radiation: copper Kα. Structure: a structure optimized by DFT (GGA-PBE).
Lines closer than 0.1° are merged.

The 12 most intense peaks (2θ = 10–90°), in order of falling intensity:
two_theta, Rel. int.
42.6, 100.0
29.7, 49.4
77.9, 33.5
25.7, 20.4
70.0, 18.4
61.8, 16.4
52.8, 13.8
50.4, 10.3
68.0, 4.3
83.6, 3.5
22.8, 1.0
27.3, 1.0

```
Nb2Co2SnPb
1.0
10.4076 0.0000 0.0000
0.0000 4.2467 0.0000
-3.4739 0.0000 9.8176
Nb Co Sn Pb
8 8 4 4
direct
0.0000 0.0000 0.0000 Nb
0.1231 0.5000 0.3696 Nb
0.2496 0.0000 0.7459 Nb
0.3748 0.5000 0.1214 Nb
0.4979 0.0000 0.4944 Nb
0.6247 0.5000 0.8745 Nb
0.7514 0.0000 0.2448 Nb
0.8764 0.5000 0.6194 Nb
0.0007 0.0000 0.7422 Co
0.1233 0.5000 0.1242 Co
0.2464 0.0000 0.4928 Co
0.3787 0.5000 0.8749 Co
0.4958 0.0000 0.2425 Co
0.6241 0.5000 0.6205 Co
0.7505 0.0000 0.0013 Co
0.8781 0.5000 0.3704 Co
0.9998 0.0000 0.4950 Sn
0.2493 0.0000 0.2460 Sn
0.4997 0.0000 0.9968 Sn
0.8747 0.5000 0.1214 Sn
0.1248 0.5000 0.8723 Pb
0.3740 0.5000 0.6212 Pb
0.6254 0.5000 0.3702 Pb
0.7503 0.0000 0.7473 Pb
```